Entry 1:
Computed powder XRD pattern
Compound: Li4MnCo2O7
Radiation: CuKα
Structure: the PBE+U geometry in Alexandria
Kinematic intensities with the Lorentz-polarization factor, no thermal factor.

Top 10 peaks for 2θ from 10° to 90°, by angle:
4.789 Å, 18.53°, rel. 100
2.464 Å, 36.47°, rel. 12
2.455 Å, 36.61°, rel. 25
2.356 Å, 38.19°, rel. 10
2.056 Å, 44.04°, rel. 27
2.045 Å, 44.29°, rel. 53
1.885 Å, 48.28°, rel. 8
1.583 Å, 58.31°, rel. 10
1.459 Å, 63.80°, rel. 14
1.441 Å, 64.66°, rel. 14

Structure:
```
Li4MnCo2O7
1.0
4.983 0.000 0.000
-1.661 5.579 0.000
-0.856 -0.402 8.665
Li Mn Co O
8 2 4 14
Direct
0.000 0.000 0.000
0.007 0.505 0.002
0.152 0.297 0.274
0.293 0.574 0.575
0.422 0.856 0.869
0.581 0.154 0.137
0.722 0.433 0.423
0.865 0.713 0.725
0.722 0.931 0.425
0.865 0.222 0.721
0.150 0.787 0.280
0.292 0.074 0.572
0.435 0.363 0.861
0.576 0.642 0.136
0.145 0.063 0.790
0.146 0.514 0.783
0.312 0.814 0.090
0.323 0.349 0.066
0.438 0.631 0.346
0.439 0.084 0.356
0.585 0.386 0.660
0.607 0.907 0.632
0.690 0.665 0.940
0.711 0.190 0.912
0.857 0.500 0.213
0.864 0.947 0.221
0.978 0.236 0.503
0.999 0.765 0.481
```

***

Entry 2:
Computed powder XRD pattern
Compound: Li7Mn2Co3O12
Radiation: CuKα
Structure: the PBE+U geometry in Alexandria
Kinematic intensities with the Lorentz-polarization factor, no thermal factor.

Top 10 peaks for 2θ from 10° to 90°, by angle:
4.811 Å, 18.44°, rel. 100
2.493 Å, 36.03°, rel. 13
2.486 Å, 36.13°, rel. 13
2.444 Å, 36.77°, rel. 12
2.077 Å, 43.57°, rel. 29
2.068 Å, 43.77°, rel. 28
2.038 Å, 44.44°, rel. 26
1.467 Å, 63.41°, rel. 15
1.464 Å, 63.54°, rel. 15
1.441 Å, 64.70°, rel. 7

Structure:
```
Li7Mn2Co3O12
1.0
5.110 0.000 0.000
-1.708 5.611 0.000
-0.838 -1.774 7.333
Li Mn Co O
7 2 3 12
Direct
0.000 0.000 0.000
0.000 0.155 0.663
0.005 0.484 0.005
0.496 0.404 0.162
0.989 0.323 0.321
0.990 0.820 0.319
0.993 0.661 0.663
0.494 0.075 0.832
0.497 0.239 0.490
0.489 0.727 0.481
0.493 0.911 0.160
0.503 0.576 0.844
0.266 0.273 0.904
0.266 0.639 0.250
0.266 0.800 0.915
0.271 0.965 0.585
0.274 0.111 0.257
0.274 0.440 0.577
0.710 0.866 0.736
0.718 0.035 0.403
0.721 0.177 0.067
0.722 0.346 0.743
0.722 0.710 0.072
0.729 0.516 0.425
```

***

Entry 3:
Computed powder XRD pattern
Compound: Li5MnCo2O8
Radiation: CuKα
Structure: the PBE+U geometry in Alexandria
Kinematic intensities with the Lorentz-polarization factor, no thermal factor.

Top 10 peaks for 2θ from 10° to 90°, by angle:
4.898 Å, 18.11°, rel. 10
4.800 Å, 18.48°, rel. 100
4.701 Å, 18.88°, rel. 10
2.494 Å, 36.01°, rel. 28
2.449 Å, 36.70°, rel. 12
2.083 Å, 43.44°, rel. 64
2.023 Å, 44.80°, rel. 27
1.607 Å, 57.32°, rel. 10
1.455 Å, 64.00°, rel. 15
1.448 Å, 64.35°, rel. 16

Structure:
```
Li5MnCo2O8
1.0
4.901 -1.463 0.000
4.901 1.463 0.000
-2.012 0.000 9.797
Li Mn Co O
5 1 2 8
Direct
0.000 0.000 0.000
0.005 0.005 0.519
0.243 0.243 0.889
0.502 0.502 0.268
0.512 0.512 0.768
0.751 0.751 0.134
0.259 0.259 0.392
0.757 0.757 0.651
0.139 0.139 0.694
0.147 0.147 0.207
0.361 0.361 0.086
0.367 0.367 0.569
0.630 0.630 0.968
0.649 0.649 0.459
0.870 0.870 0.324
0.872 0.872 0.808
```